Entry 1:
The following is a computed powder diffraction line list of W2C3O3. It was derived from a DFT-relaxed cell (PBE+U, the Materials Project), using Cu Kα X-rays.

Most intense lines, 2θ from 5° to 70°, in order of rising 2θ:
two_theta	I_rel
22.53	91
22.89	100
24.41	96
33.46	75
33.71	58
40.93	60

Cell and atoms:
Lattice parameters (Å, degrees): 7.772 7.891 3.647 90.00 90.00 90.00
Space group Cmmm (No. 65)
Inequivalent atoms, fractional coordinates:
W 0.000 0.248 0.000
C 0.000 0.000 0.000
C 0.000 0.090 0.500
O 0.000 0.500 0.000
O 0.250 0.250 0.000

---

Entry 2:
The following is a computed powder diffraction line list of WCO2. It was derived from a DFT-relaxed cell (PBE+U, the Materials Project), using Cu Kα X-rays.

Most intense lines, 2θ from 5° to 70°, in order of rising 2θ:
two_theta	I_rel
21.03	69
22.90	100
31.29	71
32.61	27
39.13	26
57.36	27

Cell and atoms:
Lattice parameters (Å, degrees): 3.884 3.884 4.223 90.00 90.00 90.00
Space group P4/mmm (No. 123)
Inequivalent atoms, fractional coordinates:
W 0.000 0.000 0.000
C 0.000 0.000 0.500
O 0.000 0.500 0.000

---

Entry 3:
The following is a computed powder diffraction line list of W2CO. It was derived from a DFT-relaxed cell (PBE+U, the Materials Project), using Cu Kα X-rays.

Most intense lines, 2θ from 5° to 70°, in order of rising 2θ:
two_theta	I_rel
29.41	67
34.57	95
35.25	44
46.01	100
46.55	47
62.83	19

Cell and atoms:
Lattice parameters (Å, degrees): 3.016 3.037 5.092 90.00 90.00 90.00
Space group Pmm2 (No. 25)
Inequivalent atoms, fractional coordinates:
W 0.000 0.000 0.000
W 0.500 0.000 0.471
C 0.000 0.500 0.320
O 0.500 0.500 0.820

---

Entry 4:
The following is a computed powder diffraction line list of W4C3O. It was derived from a DFT-relaxed cell (PBE+U, the Materials Project), using Cu Kα X-rays.

Most intense lines, 2θ from 5° to 70°, in order of rising 2θ:
two_theta	I_rel
30.04	43
35.08	100
46.84	95
52.52	3
62.43	6
62.94	22

Cell and atoms:
Lattice parameters (Å, degrees): 2.9535 2.9535 11.9007 90.00 90.00 120.00
Space group P-6m2 (No. 187)
Inequivalent atoms, fractional coordinates:
W 0.0000 0.0000 0.1213
W 0.0000 0.0000 0.3608
C 0.6667 0.3333 0.0000
C 0.6667 0.3333 0.2447
O 0.6667 0.3333 0.5000

---

Entry 5:
The following is a computed powder diffraction line list of W2CO. It was derived from a DFT-relaxed cell (PBE+U, the Materials Project), using Cu Kα X-rays.

Most intense lines, 2θ from 5° to 70°, in order of rising 2θ:
two_theta	I_rel
29.14	45
35.15	100
46.29	98
57.80	10
60.42	6
63.06	22

Cell and atoms:
Lattice parameters (Å, degrees): 2.9483 2.9483 6.1281 90.00 90.00 120.00
Space group P-6m2 (No. 187)
Inequivalent atoms, fractional coordinates:
W 0.0000 0.0000 0.2260
C 0.6667 0.3333 0.0000
O 0.6667 0.3333 0.5000

---

Entry 6:
The following is a computed powder diffraction line list of CaMn9CdO10. It was derived from a DFT-relaxed cell (PBE+U, the Materials Project), using Cu Kα X-rays.

Most intense lines, 2θ from 5° to 70°, in order of rising 2θ:
two_theta	I_rel
30.92	81
31.56	78
33.48	95
37.22	88
37.40	87
38.04	100

Cell and atoms:
Lattice parameters (Å, degrees): 5.859 6.047 9.181 70.88 82.89 68.52
Space group P1 (No. 1)
Inequivalent atoms, fractional coordinates:
Ca 0.000 0.000 0.000
Mn 0.337 0.094 0.581
Mn 0.337 0.678 0.420
Mn 0.360 0.363 0.205
Mn 0.363 0.562 0.795
Mn 0.759 0.577 0.999
Mn 0.812 0.017 0.708
Mn 0.813 0.729 0.293
Mn 0.865 0.168 0.372
Mn 0.871 0.532 0.628
Cd 0.461 0.039 0.005
O 0.061 0.168 0.751
O 0.061 0.924 0.250
O 0.083 0.393 0.407
O 0.088 0.793 0.597
O 0.104 0.586 0.002
O 0.551 0.993 0.385
O 0.555 0.374 0.611
O 0.612 0.522 0.252
O 0.613 0.770 0.746
O 0.623 0.321 0.000

---

Entry 7:
The following is a computed powder diffraction line list of CaMn9CdO10. It was derived from a DFT-relaxed cell (PBE+U, the Materials Project), using Cu Kα X-rays.

Most intense lines, 2θ from 5° to 70°, in order of rising 2θ:
two_theta	I_rel
33.53	60
34.39	60
35.11	52
36.06	69
40.38	100
41.76	53

Cell and atoms:
Lattice parameters (Å, degrees): 5.550 5.552 10.001 97.66 95.30 107.22
Space group P1 (No. 1)
Inequivalent atoms, fractional coordinates:
Ca 0.000 0.000 0.000
Mn 0.020 0.541 0.176
Mn 0.082 0.099 0.332
Mn 0.115 0.648 0.513
Mn 0.151 0.186 0.653
Mn 0.557 0.076 0.169
Mn 0.573 0.608 0.322
Mn 0.615 0.150 0.486
Mn 0.665 0.703 0.647
Mn 0.704 0.232 0.801
Cd 0.449 0.536 0.971
O 0.283 0.301 0.171
O 0.331 0.855 0.307
O 0.360 0.408 0.499
O 0.419 0.966 0.640
O 0.746 0.264 0.015
O 0.796 0.808 0.167
O 0.826 0.353 0.330
O 0.869 0.891 0.481
O 0.882 0.429 0.647
O 0.928 0.995 0.784

---

Entry 8:
The following is a computed powder diffraction line list of CaMn9CdO10. It was derived from a DFT-relaxed cell (PBE+U, the Materials Project), using Cu Kα X-rays.

Most intense lines, 2θ from 5° to 70°, in order of rising 2θ:
two_theta	I_rel
31.32	79
32.33	87
32.91	47
33.61	85
33.81	70
35.84	100

Cell and atoms:
Lattice parameters (Å, degrees): 5.659 5.771 9.453 106.69 93.53 98.15
Space group P1 (No. 1)
Inequivalent atoms, fractional coordinates:
Ca 0.000 0.000 0.000
Mn 0.026 0.233 0.698
Mn 0.029 0.012 0.328
Mn 0.099 0.527 0.086
Mn 0.161 0.530 0.415
Mn 0.360 0.805 0.773
Mn 0.510 0.084 0.512
Mn 0.519 0.007 0.166
Mn 0.554 0.406 0.910
Mn 0.611 0.529 0.259
Cd 0.748 0.669 0.642
O 0.099 0.543 0.625
O 0.307 0.745 0.973
O 0.318 0.779 0.310
O 0.363 0.126 0.715
O 0.374 0.283 0.070
O 0.414 0.288 0.376
O 0.804 0.759 0.139
O 0.841 0.961 0.500
O 0.880 0.275 0.897
O 0.897 0.293 0.237

---

Entry 9:
The following is a computed powder diffraction line list of CaMn9CdO10. It was derived from a DFT-relaxed cell (PBE+U, the Materials Project), using Cu Kα X-rays.

Most intense lines, 2θ from 5° to 70°, in order of rising 2θ:
two_theta	I_rel
25.37	45
32.00	47
33.12	100
33.26	51
35.42	48
42.75	45

Cell and atoms:
Lattice parameters (Å, degrees): 5.826 5.971 9.165 89.13 88.63 73.98
Space group P1 (No. 1)
Inequivalent atoms, fractional coordinates:
Ca 0.000 0.000 0.000
Mn 0.109 0.499 0.868
Mn 0.142 0.282 0.541
Mn 0.151 0.895 0.320
Mn 0.210 0.379 0.211
Mn 0.485 0.047 0.844
Mn 0.598 0.547 0.743
Mn 0.653 0.299 0.409
Mn 0.684 0.786 0.373
Mn 0.706 0.506 0.099
Cd 0.002 0.875 0.633
O 0.290 0.787 0.834
O 0.291 0.234 0.013
O 0.358 0.331 0.694
O 0.402 0.110 0.379
O 0.452 0.601 0.274
O 0.799 0.344 0.905
O 0.799 0.516 0.534
O 0.805 0.801 0.831
O 0.919 0.210 0.240
O 0.935 0.712 0.193

---

Entry 10:
The following is a computed powder diffraction line list of CaMn9CdO10. It was derived from a DFT-relaxed cell (PBE+U, the Materials Project), using Cu Kα X-rays.

Most intense lines, 2θ from 5° to 70°, in order of rising 2θ:
two_theta	I_rel
32.04	64
32.66	100
33.36	77
33.49	93
34.74	60
45.61	39

Cell and atoms:
Lattice parameters (Å, degrees): 6.286 6.303 8.732 86.84 69.39 62.86
Space group P1 (No. 1)
Inequivalent atoms, fractional coordinates:
Ca 0.000 0.000 0.000
Mn 0.086 0.688 0.468
Mn 0.240 0.508 0.119
Mn 0.299 0.044 0.190
Mn 0.302 0.411 0.752
Mn 0.627 0.153 0.368
Mn 0.672 0.605 0.277
Mn 0.672 0.954 0.832
Mn 0.720 0.492 0.914
Mn 0.997 0.260 0.552
Cd 0.472 0.839 0.633
O 0.014 0.439 0.339
O 0.034 0.896 0.267
O 0.265 0.208 0.973
O 0.352 0.635 0.892
O 0.387 0.989 0.400
O 0.460 0.496 0.505
O 0.614 0.353 0.151
O 0.708 0.788 0.050
O 0.894 0.129 0.772
O 0.961 0.560 0.696